No. 1
This entry pairs a crystal structure of Ca3InNi3 with its theoretical powder diffractogram. Radiation: a wavelength of 1.5418 Å. Structure: a cell relaxed with PBE.

Structure:
a b c (Å): 5.686 5.686 13.472
angles (deg): 90.00 90.00 136.13
Element x y z (fractional)
Ca  0.003  0.997  0.750
Ca  0.288  0.712  0.607
Ca  0.288  0.712  0.893
Ca  0.712  0.288  0.107
Ca  0.712  0.288  0.393
Ca  0.997  0.003  0.250
In  0.000  0.000  0.000
In  0.000  0.000  0.500
Ni  0.308  0.692  0.250
Ni  0.418  0.582  0.096
Ni  0.418  0.582  0.404
Ni  0.582  0.418  0.596
Ni  0.582  0.418  0.904
Ni  0.692  0.308  0.750

The 10 most intense peaks (2θ from 10° to 90°), most intense first:
2theta	I (rel.)
35.05	100
33.07	74
38.82	62
21.40	52
42.56	48
46.56	40
39.63	34
18.06	33
42.84	29
16.81	28

=====

No. 2
This entry pairs a crystal structure of Ca4In16Ni3 with its theoretical powder diffractogram. Radiation: a wavelength of 1.5418 Å. Structure: a cell relaxed with PBE.

Structure:
a b c (Å): 6.678 6.678 12.369
angles (deg): 90.00 90.00 90.00
Element x y z (fractional)
Ca  0.000  0.500  0.194
Ca  0.000  0.500  0.806
Ca  0.500  0.000  0.194
Ca  0.500  0.000  0.806
In  0.000  0.000  0.198
In  0.000  0.000  0.802
In  0.228  0.228  0.000
In  0.228  0.772  0.000
In  0.249  0.249  0.381
In  0.249  0.249  0.619
In  0.249  0.751  0.381
In  0.249  0.751  0.619
In  0.500  0.500  0.211
In  0.500  0.500  0.789
In  0.751  0.249  0.381
In  0.751  0.249  0.619
In  0.751  0.751  0.381
In  0.751  0.751  0.619
In  0.772  0.228  0.000
In  0.772  0.772  0.000
Ni  0.000  0.500  0.500
Ni  0.500  0.000  0.500
Ni  0.500  0.500  0.000

The 10 most intense peaks (2θ from 10° to 90°), most intense first:
2theta	I (rel.)
34.57	100
38.12	72
30.42	40
66.63	39
53.66	33
36.31	28
55.00	23
39.73	21
67.71	16
20.13	12

=====

No. 3
This entry pairs a crystal structure of Ca3InNi8 with its theoretical powder diffractogram. Radiation: a wavelength of 1.5418 Å. Structure: a cell relaxed with PBE.

Structure:
a b c (Å): 8.734 8.734 8.734
angles (deg): 33.50 33.50 33.50
Element x y z (fractional)
Ca  0.000  0.000  0.000
Ca  0.126  0.126  0.126
Ca  0.624  0.624  0.624
In  0.501  0.501  0.501
Ni  0.062  0.062  0.558
Ni  0.062  0.558  0.062
Ni  0.070  0.562  0.562
Ni  0.312  0.312  0.312
Ni  0.558  0.062  0.062
Ni  0.562  0.070  0.562
Ni  0.562  0.562  0.070
Ni  0.813  0.813  0.813

The 10 most intense peaks (2θ from 10° to 90°), most intense first:
2theta	I (rel.)
42.07	100
44.04	42
35.65	25
68.45	21
75.55	12
75.44	12
21.61	11
10.74	9
68.38	7
64.02	6

=====

No. 4
This entry pairs a crystal structure of Ca3In4Ni8 with its theoretical powder diffractogram. Radiation: a wavelength of 1.5418 Å. Structure: a cell relaxed with PBE.

Structure:
a b c (Å): 9.007 9.007 7.536
angles (deg): 90.00 90.00 120.00
Element x y z (fractional)
Ca  0.059  0.530  0.000
Ca  0.470  0.530  0.000
Ca  0.470  0.941  0.000
Ca  0.530  0.059  0.500
Ca  0.530  0.470  0.500
Ca  0.941  0.470  0.500
In  0.169  0.338  0.696
In  0.169  0.831  0.696
In  0.333  0.667  0.341
In  0.338  0.169  0.196
In  0.662  0.831  0.696
In  0.667  0.333  0.841
In  0.831  0.169  0.196
In  0.831  0.662  0.196
Ni  0.000  0.000  0.267
Ni  0.000  0.000  0.767
Ni  0.098  0.196  0.015
Ni  0.098  0.902  0.015
Ni  0.160  0.320  0.327
Ni  0.160  0.840  0.327
Ni  0.196  0.098  0.515
Ni  0.320  0.160  0.827
Ni  0.333  0.667  0.697
Ni  0.667  0.333  0.197
Ni  0.680  0.840  0.327
Ni  0.804  0.902  0.015
Ni  0.840  0.160  0.827
Ni  0.840  0.680  0.827
Ni  0.902  0.098  0.515
Ni  0.902  0.804  0.515

The 10 most intense peaks (2θ from 10° to 90°), most intense first:
2theta	I (rel.)
40.04	100
11.34	75
47.01	48
37.62	43
33.06	40
47.56	39
42.82	34
43.52	26
25.72	25
63.87	25